(1)
# Au4N2F5
Theoretical PXRD pattern, CuKα. Input: the GGA-PBE geometry in Alexandria.

Peak list (10 most intense, 2θ = 10–90°, sorted by position)
h k l  2θ/deg  I/Imax
0 1 1  14.50  100.0
0 2 0  28.29  36.5
1 0 1  28.76  24.6
1 1 2  32.00  57.9
0 0 4  34.80  41.1
-1 1 2  36.74  17.6
1 1 -2  38.36  31.1
0 3 1  41.61  29.7
0 3 2  42.11  21.2
1 -2 1  44.00  19.5

Structural model:
```
data_Au4N2F5
_chemical_formula_sum 'Au4 N2 F5'
_symmetry_space_group_name_H-M 'P -1'
_symmetry_Int_Tables_number 2
_symmetry_space_group_name_Hall '-P 1'
_cell_length_a 3.193
_cell_length_b 6.556
_cell_length_c 10.728
_cell_angle_alpha 74.86
_cell_angle_beta 83.24
_cell_angle_gamma 83.76
loop_
_atom_site_label
_atom_site_type_symbol
_atom_site_fract_x
_atom_site_fract_y
_atom_site_fract_z
Au1 Au 0.187 0.310 0.000
Au2 Au 0.223 0.769 0.765
N1 N 0.021 0.434 0.475
F1 F 0.055 0.070 0.720
F2 F 0.403 0.453 0.796
F3 F 0.500 0.000 0.000
```


(2)
# SbAuN2F
Theoretical PXRD pattern, CuKα. Input: the GGA-PBE geometry in Alexandria.

Peak list (10 most intense, 2θ = 10–90°, sorted by position)
h k l  2θ/deg  I/Imax
1 1 0  30.80  100.0
0 0 2  43.97  9.1
2 0 0  44.18  17.8
1 1 2  54.67  14.3
2 1 1  54.81  26.3
2 0 2  64.10  11.3
3 1 0  72.96  11.9
2 1 3  89.10  7.3
3 1 2  89.29  7.7
3 2 1  89.40  7.3

Structural model:
```
data_SbAuN2F
_chemical_formula_sum 'Sb1 Au1 N2 F1'
_symmetry_space_group_name_H-M 'P 4/m m m'
_symmetry_Int_Tables_number 123
_symmetry_space_group_name_Hall '-P 4 2'
_cell_length_a 4.100
_cell_length_b 4.100
_cell_length_c 4.119
_cell_angle_alpha 90.00
_cell_angle_beta 90.00
_cell_angle_gamma 90.00
loop_
_atom_site_label
_atom_site_type_symbol
_atom_site_fract_x
_atom_site_fract_y
_atom_site_fract_z
Sb1 Sb 0.000 0.000 0.000
Au1 Au 0.500 0.500 0.500
N1 N 0.000 0.500 0.000
F1 F 0.000 0.000 0.500
```


(3)
# AuSeN2F
Theoretical PXRD pattern, CuKα. Input: the GGA-PBE geometry in Alexandria.

Peak list (10 most intense, 2θ = 10–90°, sorted by position)
h k l  2θ/deg  I/Imax
0 0 1  21.08  14.4
1 0 0  21.58  32.5
1 0 1  30.35  100.0
1 1 0  30.70  53.3
0 0 2  42.93  15.3
2 0 0  43.97  28.4
1 1 2  53.70  22.9
2 1 1  54.36  40.2
2 0 2  63.13  18.6
3 1 2  88.20  12.1

Structural model:
```
data_AuSeN2F
_chemical_formula_sum 'Au1 Se1 N2 F1'
_symmetry_space_group_name_H-M 'P 4/m m m'
_symmetry_Int_Tables_number 123
_symmetry_space_group_name_Hall '-P 4 2'
_cell_length_a 4.119
_cell_length_b 4.119
_cell_length_c 4.214
_cell_angle_alpha 90.00
_cell_angle_beta 90.00
_cell_angle_gamma 90.00
loop_
_atom_site_label
_atom_site_type_symbol
_atom_site_fract_x
_atom_site_fract_y
_atom_site_fract_z
Au1 Au 0.000 0.000 0.000
Se1 Se 0.500 0.500 0.500
N1 N 0.000 0.500 0.000
F1 F 0.000 0.000 0.500
```


(4)
# NaAuF2
Theoretical PXRD pattern, CuKα. Input: the GGA-PBE geometry in Alexandria.

Peak list (10 most intense, 2θ = 10–90°, sorted by position)
h k l  2θ/deg  I/Imax
0 0 2  13.06  100.0
0 0 4  26.30  30.5
1 0 0  31.51  81.9
1 0 2  34.24  99.8
1 0 4  41.49  37.9
1 0 6  51.71  46.9
1 1 0  56.11  20.7
1 1 2  57.88  15.7
1 1 4  62.99  17.5
1 0 8  64.00  16.0

Structural model:
```
data_NaAuF2
_chemical_formula_sum 'Na2 Au2 F4'
_symmetry_space_group_name_H-M 'P 63/m m c'
_symmetry_Int_Tables_number 194
_symmetry_space_group_name_Hall '-P 6c 2c'
_cell_length_a 3.2784
_cell_length_b 3.2784
_cell_length_c 13.5537
_cell_angle_alpha 90.00
_cell_angle_beta 90.00
_cell_angle_gamma 120.00
loop_
_atom_site_label
_atom_site_type_symbol
_atom_site_fract_x
_atom_site_fract_y
_atom_site_fract_z
Na1 Na 0.3333 0.6667 0.2500
Au1 Au 0.0000 0.0000 0.0000
F1 F 0.0000 0.0000 0.1528
```


(5)
# Na2Au2F7
Theoretical PXRD pattern, CuKα. Input: the GGA-PBE geometry in Alexandria.

Peak list (10 most intense, 2θ = 10–90°, sorted by position)
h k l  2θ/deg  I/Imax
0 1 -1  16.56  88.5
1 0 0  17.87  18.3
1 0 1  19.41  39.9
0 1 2  21.12  15.0
-1 1 1  24.49  18.2
1 -1 1  24.52  17.6
1 1 2  27.77  100.0
1 0 3  29.00  38.5
0 0 4  30.35  30.0
2 0 -3  43.11  17.2

Structural model:
```
data_Na2Au2F7
_chemical_formula_sum 'Na4 Au4 F14'
_symmetry_space_group_name_H-M 'P 1'
_symmetry_Int_Tables_number 1
_symmetry_space_group_name_Hall 'P 1'
_cell_length_a 4.963
_cell_length_b 6.011
_cell_length_c 11.779
_cell_angle_alpha 89.79
_cell_angle_beta 89.99
_cell_angle_gamma 89.75
loop_
_atom_site_label
_atom_site_type_symbol
_atom_site_fract_x
_atom_site_fract_y
_atom_site_fract_z
Na1 Na 0.000 0.000 0.000
Na2 Na 0.077 0.406 0.237
Na3 Na 0.380 0.094 0.737
Na4 Na 0.457 0.500 0.500
Au1 Au 0.524 0.480 0.962
Au2 Au 0.597 0.904 0.237
Au3 Au 0.859 0.596 0.737
Au4 Au 0.933 0.019 0.463
F1 F 0.020 0.860 0.811
F2 F 0.041 0.713 0.516
F3 F 0.153 0.412 0.798
F4 F 0.201 0.326 0.055
F5 F 0.256 0.173 0.555
F6 F 0.303 0.087 0.298
F7 F 0.416 0.786 0.016
F8 F 0.436 0.639 0.310
F9 F 0.564 0.773 0.669
F10 F 0.639 0.182 0.901
F11 F 0.702 0.340 0.659
F12 F 0.754 0.161 0.159
F13 F 0.817 0.318 0.401
F14 F 0.892 0.728 0.169
```


(6)
# Na2AuF5
Theoretical PXRD pattern, CuKα. Input: the GGA-PBE geometry in Alexandria.

Peak list (10 most intense, 2θ = 10–90°, sorted by position)
h k l  2θ/deg  I/Imax
0 0 1  17.18  100.0
0 1 0  17.65  57.7
1 0 0  19.75  66.6
1 1 1  20.60  70.6
1 1 0  21.26  30.2
1 0 1  21.72  25.2
0 1 1  22.39  28.2
0 1 -1  26.88  40.9
2 1 1  33.91  44.6
1 0 2  34.11  25.4

Structural model:
```
data_Na2AuF5
_chemical_formula_sum 'Na2 Au1 F5'
_symmetry_space_group_name_H-M 'P -1'
_symmetry_Int_Tables_number 2
_symmetry_space_group_name_Hall '-P 1'
_cell_length_a 5.293
_cell_length_b 5.704
_cell_length_c 5.763
_cell_angle_alpha 70.75
_cell_angle_beta 65.50
_cell_angle_gamma 63.54
loop_
_atom_site_label
_atom_site_type_symbol
_atom_site_fract_x
_atom_site_fract_y
_atom_site_fract_z
Na1 Na 0.249 0.179 0.276
Au1 Au 0.500 0.500 0.500
F1 F 0.000 0.500 0.500
F2 F 0.250 0.823 0.662
F3 F 0.463 0.252 0.837
```


(7)
# NaPbAu2F8
Theoretical PXRD pattern, CuKα. Input: the GGA-PBE geometry in Alexandria.

Peak list (10 most intense, 2θ = 10–90°, sorted by position)
h k l  2θ/deg  I/Imax
1 0 1  17.07  34.3
1 1 2  27.14  100.0
2 0 0  29.85  35.7
0 0 4  34.42  23.4
1 2 1  34.58  15.6
2 2 0  42.70  23.2
2 0 4  46.19  25.1
1 3 2  51.35  49.8
2 2 4  55.96  19.2
1 3 6  74.08  15.9

Structural model:
```
data_NaPbAu2F8
_chemical_formula_sum 'Na2 Pb2 Au4 F16'
_symmetry_space_group_name_H-M 'I -4'
_symmetry_Int_Tables_number 82
_symmetry_space_group_name_Hall 'I -4'
_cell_length_a 5.987
_cell_length_b 5.987
_cell_length_c 10.421
_cell_angle_alpha 90.00
_cell_angle_beta 90.00
_cell_angle_gamma 90.00
loop_
_atom_site_label
_atom_site_type_symbol
_atom_site_fract_x
_atom_site_fract_y
_atom_site_fract_z
Na1 Na 0.000 0.000 0.000
Pb1 Pb 0.000 0.500 0.750
Au1 Au 0.000 0.000 0.500
Au2 Au 0.000 0.500 0.250
F1 F 0.136 0.309 0.518
F2 F 0.138 0.817 0.228
```


(8)
# RbNaAu2F8
Theoretical PXRD pattern, CuKα. Input: the GGA-PBE geometry in Alexandria.

Peak list (10 most intense, 2θ = 10–90°, sorted by position)
h k l  2θ/deg  I/Imax
1 0 1  16.66  66.8
1 1 2  26.49  100.0
2 0 0  29.07  53.9
0 0 4  33.69  46.7
2 2 0  41.57  27.3
2 0 4  45.08  31.8
1 3 2  49.97  47.4
2 2 4  54.54  28.0
0 0 8  70.84  15.9
4 2 4  78.33  21.7

Structural model:
```
data_RbNaAu2F8
_chemical_formula_sum 'Rb2 Na2 Au4 F16'
_symmetry_space_group_name_H-M 'I -4'
_symmetry_Int_Tables_number 82
_symmetry_space_group_name_Hall 'I -4'
_cell_length_a 6.145
_cell_length_b 6.145
_cell_length_c 10.640
_cell_angle_alpha 90.00
_cell_angle_beta 90.00
_cell_angle_gamma 90.00
loop_
_atom_site_label
_atom_site_type_symbol
_atom_site_fract_x
_atom_site_fract_y
_atom_site_fract_z
Rb1 Rb 0.000 0.000 0.000
Na1 Na 0.000 0.500 0.750
Au1 Au 0.000 0.000 0.500
Au2 Au 0.000 0.500 0.250
F1 F 0.074 0.310 0.509
F2 F 0.171 0.227 0.246
```